Dy7GaSi5: computed powder diffraction line list (CuKα), based on a structure optimized by DFT (PBE).
Neutral-atom scattering factors, no anomalous dispersion.

Structure:
```
data_Dy7GaSi5
_chemical_formula_sum 'Dy14 Ga2 Si10'
_cell_length_a 5.829
_cell_length_b 10.772
_cell_length_c 9.771
_cell_angle_alpha 90.00
_cell_angle_beta 90.00
_cell_angle_gamma 90.00
_space_group_name_H-M_alt 'I m m 2'
_space_group_IT_number 44
_space_group_name_Hall 'I 2 -2'
loop_
_atom_site_label
_atom_site_fract_x
_atom_site_fract_y
_atom_site_fract_z
Dy1 0.000 0.000 0.000
Dy2 0.000 0.000 0.389
Dy3 0.000 0.323 0.653
Dy4 0.000 0.335 0.099
Dy5 0.000 0.500 0.356
Ga1 0.000 0.000 0.694
Si1 0.000 0.500 0.869
Si2 0.212 0.260 0.383
```

Main lines, in order of rising 2θ (10° ≤ 2θ ≤ 90°):
(0 2 2), 24.60°, I 58
(1 1 2), 25.18°, I 29
(1 3 0), 29.21°, I 100
(2 0 0), 30.67°, I 78
(1 0 3), 31.46°, I 76
(1 3 2), 34.61°, I 85
(0 4 2), 38.16°, I 29
(2 2 2), 39.71°, I 67
(1 1 4), 40.93°, I 33
(2 6 0), 60.57°, I 30


Ho2Mn2Ge2N: computed powder diffraction line list (CuKα), based on a structure optimized by DFT (PBE).
Neutral-atom scattering factors, no anomalous dispersion.

Structure:
```
data_Ho2Mn2Ge2N
_chemical_formula_sum 'Ho4 Mn4 Ge4 N2'
_cell_length_a 4.054
_cell_length_b 4.054
_cell_length_c 14.521
_cell_angle_alpha 90.00
_cell_angle_beta 90.00
_cell_angle_gamma 90.00
_space_group_name_H-M_alt 'I 4/m m m'
_space_group_IT_number 139
_space_group_name_Hall '-I 4 2'
loop_
_atom_site_label
_atom_site_fract_x
_atom_site_fract_y
_atom_site_fract_z
Ho1 0.000 0.000 0.162
Mn1 0.000 0.500 0.000
Ge1 0.000 0.000 0.375
N1 0.000 0.000 0.000
```

Main lines, in order of rising 2θ (10° ≤ 2θ ≤ 90°):
(1 0 3), 28.73°, I 51
(1 1 0), 31.20°, I 72
(1 1 2), 33.61°, I 50
(0 0 6), 37.15°, I 31
(1 0 5), 38.12°, I 35
(1 1 4), 40.08°, I 100
(2 0 0), 44.71°, I 67
(2 0 6), 59.49°, I 31
(1 0 9), 61.90°, I 24
(3 1 4), 79.25°, I 28


CaSn4S9: computed powder diffraction line list (CuKα), based on a structure optimized by DFT (PBE).
Neutral-atom scattering factors, no anomalous dispersion.

Structure:
```
data_CaSn4S9
_chemical_formula_sum 'Ca2 Sn8 S18'
_cell_length_a 3.841
_cell_length_b 22.786
_cell_length_c 9.832
_cell_angle_alpha 90.00
_cell_angle_beta 90.00
_cell_angle_gamma 90.00
_space_group_name_H-M_alt 'P m m n'
_space_group_IT_number 59
loop_
_space_group_symop_operation_xyz
'x,y,z'
'-x,-y,-z'
'-x+1/2,-y+1/2,z'
'x+1/2,y+1/2,-z'
'x+1/2,-y,-z'
'-x+1/2,y,z'
'-x,y+1/2,-z'
'x,-y+1/2,z'
loop_
_atom_site_label
_atom_site_fract_x
_atom_site_fract_y
_atom_site_fract_z
Ca1 0.250 0.250 0.093
Sn1 0.250 0.602 0.677
Sn2 0.250 0.654 0.276
S1 0.250 0.036 0.346
S2 0.250 0.099 0.808
S3 0.250 0.662 0.874
S4 0.250 0.682 0.510
S5 0.250 0.750 0.148
```

Main lines, in order of rising 2θ (10° ≤ 2θ ≤ 90°):
(0 4 0), 15.56°, I 100
(0 0 2), 18.04°, I 90
(0 3 2), 21.51°, I 78
(1 1 0), 23.49°, I 94
(0 4 2), 23.91°, I 56
(1 5 0), 30.43°, I 54
(1 6 1), 34.44°, I 52
(1 6 2), 38.00°, I 65
(1 6 3), 43.42°, I 29
(2 0 0), 47.31°, I 85


La4AsCI2: computed powder diffraction line list (CuKα), based on a structure optimized by DFT (PBE).
Neutral-atom scattering factors, no anomalous dispersion.

Structure:
```
data_La4AsCI2
_chemical_formula_sum 'La4 As1 C1 I2'
_cell_length_a 7.373
_cell_length_b 4.154
_cell_length_c 8.260
_cell_angle_alpha 90.00
_cell_angle_beta 106.75
_cell_angle_gamma 90.00
_space_group_name_H-M_alt 'P 1 2/m 1'
_space_group_IT_number 10
_space_group_name_Hall '-P 2y'
loop_
_atom_site_label
_atom_site_fract_x
_atom_site_fract_y
_atom_site_fract_z
La1 0.199 0.000 0.179
La2 0.237 0.500 0.812
As1 0.500 0.000 0.000
C1 0.000 0.500 0.000
I1 0.000 0.000 0.500
I2 0.500 0.500 0.500
```

Main lines, in order of rising 2θ (10° ≤ 2θ ≤ 90°):
(2 0 -2), 28.63°, I 46
(1 1 1), 28.83°, I 100
(2 0 1), 30.56°, I 14
(1 1 -2), 31.15°, I 35
(0 0 3), 34.00°, I 23
(1 1 -3), 39.37°, I 21
(3 1 -1), 42.75°, I 33
(0 2 0), 43.57°, I 20
(2 2 -2), 52.97°, I 16
(0 2 3), 56.37°, I 21


Tb6ThSc: computed powder diffraction line list (CuKα), based on a structure optimized by DFT (PBE).
Neutral-atom scattering factors, no anomalous dispersion.

Structure:
```
data_Tb6ThSc
_chemical_formula_sum 'Tb6 Th1 Sc1'
_cell_length_a 5.007
_cell_length_b 5.007
_cell_length_c 9.913
_cell_angle_alpha 90.00
_cell_angle_beta 90.00
_cell_angle_gamma 90.00
_space_group_name_H-M_alt 'P 4/m m m'
_space_group_IT_number 123
_space_group_name_Hall '-P 4 2'
loop_
_atom_site_label
_atom_site_fract_x
_atom_site_fract_y
_atom_site_fract_z
Tb1 0.000 0.000 0.000
Tb2 0.000 0.000 0.500
Tb3 0.000 0.500 0.247
Th1 0.500 0.500 0.500
Sc1 0.500 0.500 0.000
```

Main lines, in order of rising 2θ (10° ≤ 2θ ≤ 90°):
(1 0 1), 19.87°, I 6
(1 1 2), 31.04°, I 100
(2 0 0), 35.87°, I 34
(0 0 4), 36.25°, I 17
(2 2 0), 51.63°, I 12
(2 0 4), 51.92°, I 24
(3 1 2), 61.48°, I 29
(1 1 6), 61.99°, I 14
(2 2 4), 64.71°, I 12
(3 1 6), 84.81°, I 12